For Li4Mn3NbO8, a structure optimized by DFT (PBE+U) gives the computed powder X-ray diffraction pattern in this record (λ = 1.5418 Å (Cu Kα)).

Largest 8 diffraction maxima, by intensity, 10 to 90 degrees two-theta:
d [Å]	I/Imax	index
4.929	100.0	1 0 -1
2.193	55.4	2 2 0
2.661	34.2	1 2 1
2.132	25.8	0 0 4
2.524	18.8	2 0 2
2.605	16.5	1 0 3
1.543	15.4	2 -2 4
1.516	14.6	2 2 -4

```
data_Li4Mn3NbO8
_chemical_formula_sum 'Li8 Mn6 Nb2 O16'
_cell_length_a 6.1470
_cell_length_b 6.2646
_cell_length_c 8.5325
_cell_angle_alpha 89.99
_cell_angle_beta 88.59
_cell_angle_gamma 90.00
_space_group_name_H-M_alt 'P 1'
_space_group_IT_number 1
loop_
_space_group_symop_operation_xyz
'x,y,z'
loop_
_atom_site_label
_atom_site_fract_x
_atom_site_fract_y
_atom_site_fract_z
Li1 0.0000 0.0000 0.0000
Li2 0.0012 0.5037 0.9997
Li3 0.2432 0.7449 0.2465
Li4 0.2547 0.2626 0.2492
Li5 0.4973 0.0090 0.4997
Li6 0.5023 0.5034 0.4999
Li7 0.7506 0.7430 0.7506
Li8 0.7552 0.2619 0.7508
Mn1 0.0009 0.0027 0.5007
Mn2 0.0029 0.5024 0.5004
Mn3 0.2539 0.2578 0.7520
Mn4 0.5024 0.0033 0.0003
Mn5 0.5021 0.5034 0.0006
Mn6 0.7472 0.7484 0.2505
Nb1 0.2507 0.7635 0.7503
Nb2 0.7554 0.2429 0.2497
O1 0.0144 0.5206 0.7378
O2 0.0159 0.9839 0.7571
O3 0.2204 0.2754 0.5031
O4 0.2377 0.7554 0.9880
O5 0.2652 0.7543 0.5136
O6 0.2853 0.2752 0.9989
O7 0.4845 0.9849 0.7431
O8 0.4891 0.5232 0.7647
O9 0.5155 0.4826 0.2361
O10 0.5200 0.0225 0.2575
O11 0.7200 0.7314 0.0024
O12 0.7393 0.2518 0.4872
O13 0.7671 0.2507 0.0127
O14 0.7855 0.7283 0.4980
O15 0.9884 0.0210 0.2437
O16 0.9905 0.4853 0.2628
```

For Li4Mn3NbO8, a structure optimized by DFT (PBE+U) gives the computed powder X-ray diffraction pattern in this record (λ = 1.5418 Å (Cu Kα)).

Largest 8 diffraction maxima, by intensity, 10 to 90 degrees two-theta:
d [Å]	I/Imax	index
4.932	100.0	1 1 1
2.208	28.8	0 2 2
2.185	26.9	2 0 2
2.128	25.6	2 2 0
2.669	19.3	-1 1 1
2.657	16.6	1 -1 1
2.602	16.4	1 1 -1
1.542	15.4	2 0 -2

```
data_Li4Mn3NbO8
_chemical_formula_sum 'Li4 Mn3 Nb1 O8'
_cell_length_a 6.0353
_cell_length_b 6.0955
_cell_length_c 6.1620
_cell_angle_alpha 60.44
_cell_angle_beta 60.83
_cell_angle_gamma 62.22
_space_group_name_H-M_alt 'P 1'
_space_group_IT_number 1
loop_
_space_group_symop_operation_xyz
'x,y,z'
loop_
_atom_site_label
_atom_site_fract_x
_atom_site_fract_y
_atom_site_fract_z
Li1 0.0000 0.0000 0.0000
Li2 0.0066 0.4936 0.5041
Li3 0.4983 0.0020 0.4997
Li4 0.5074 0.4972 0.9967
Mn1 0.0041 0.5001 0.9999
Mn2 0.4976 0.0020 0.0007
Mn3 0.5006 0.5047 0.4949
Nb1 0.9971 0.0009 0.5009
O1 0.2277 0.2475 0.2785
O2 0.2367 0.7751 0.7237
O3 0.2414 0.7832 0.2473
O4 0.2744 0.2322 0.7784
O5 0.7274 0.7723 0.2150
O6 0.7568 0.2203 0.7501
O7 0.7640 0.2284 0.2716
O8 0.7743 0.7510 0.7206
```

For Li4Mn3NbO8, a structure optimized by DFT (PBE+U) gives the computed powder X-ray diffraction pattern in this record (λ = 1.5418 Å (Cu Kα)).

Largest 8 diffraction maxima, by intensity, 10 to 90 degrees two-theta:
d [Å]	I/Imax	index
4.926	100.0	2 0 -1
2.176	85.7	4 0 0
2.650	53.7	2 0 1
1.555	25.3	2 2 2
1.523	23.2	6 2 -2
1.991	20.0	4 2 -1
2.530	19.3	2 2 0
1.483	17.5	4 2 1

```
data_Li4Mn3NbO8
_chemical_formula_sum 'Li8 Mn6 Nb2 O16'
_cell_length_a 10.4851
_cell_length_b 6.2196
_cell_length_c 6.0955
_cell_angle_alpha 90.00
_cell_angle_beta 123.88
_cell_angle_gamma 90.00
_space_group_name_H-M_alt 'C 1 m 1'
_space_group_IT_number 8
loop_
_space_group_symop_operation_xyz
'x,y,z'
'x,-y,z'
'x+1/2,y+1/2,z'
'x+1/2,-y+1/2,z'
loop_
_atom_site_label
_atom_site_fract_x
_atom_site_fract_y
_atom_site_fract_z
Li1 0.0000 0.0000 0.0000
Li2 0.0100 0.5000 0.0014
Li3 0.2568 0.2443 0.4988
Mn1 0.0062 0.5000 0.5051
Mn2 0.2562 0.2500 0.0051
Nb1 0.0062 0.0000 0.5051
O1 0.0015 0.2315 0.7413
O2 0.0110 0.2315 0.2688
O3 0.2425 0.0000 0.7318
O4 0.2442 0.5000 0.7671
O5 0.2683 0.0000 0.2431
O6 0.2700 0.5000 0.2783
```

For Li4Mn3NbO8, a structure optimized by DFT (PBE+U) gives the computed powder X-ray diffraction pattern in this record (λ = 1.5418 Å (Cu Kα)).

Largest 8 diffraction maxima, by intensity, 10 to 90 degrees two-theta:
d [Å]	I/Imax	index
4.894	100.0	2 0 -1
2.170	83.9	4 0 0
2.646	52.5	2 0 1
1.553	25.0	2 2 2
1.516	22.5	6 2 -2
2.526	19.0	0 0 2
1.983	18.8	4 2 -1
1.480	17.5	0 2 3

```
data_Li4Mn3NbO8
_chemical_formula_sum 'Li8 Mn6 Nb2 O16'
_cell_length_a 10.4289
_cell_length_b 6.2071
_cell_length_c 6.0657
_cell_angle_alpha 90.00
_cell_angle_beta 123.59
_cell_angle_gamma 90.00
_space_group_name_H-M_alt 'C 1 2/m 1'
_space_group_IT_number 12
loop_
_space_group_symop_operation_xyz
'x,y,z'
'-x,-y,-z'
'-x,y,-z'
'x,-y,z'
'x+1/2,y+1/2,z'
'-x+1/2,-y+1/2,-z'
'-x+1/2,y+1/2,-z'
'x+1/2,-y+1/2,z'
loop_
_atom_site_label
_atom_site_fract_x
_atom_site_fract_y
_atom_site_fract_z
Li1 0.0000 0.0000 0.0000
Li2 0.0000 0.5000 0.0000
Li3 0.2500 0.2500 0.5000
Mn1 0.0000 0.0000 0.5000
Mn2 0.2500 0.2500 0.0000
Nb1 0.0000 0.5000 0.5000
O1 0.0017 0.2681 0.2622
O2 0.2360 0.5000 0.7293
O3 0.2431 0.0000 0.7746
```

For Li4Mn3NbO8, a structure optimized by DFT (PBE+U) gives the computed powder X-ray diffraction pattern in this record (λ = 1.5418 Å (Cu Kα)).

Largest 8 diffraction maxima, by intensity, 10 to 90 degrees two-theta:
d [Å]	I/Imax	index
4.942	100.0	1 1 0
2.213	27.8	0 2 -2
2.171	26.7	2 0 -2
2.146	25.9	2 2 4
2.527	18.7	0 0 4
2.617	17.1	1 1 4
2.677	16.9	1 -1 2
2.642	16.6	-1 1 2

```
data_Li4Mn3NbO8
_chemical_formula_sum 'Li8 Mn6 Nb2 O16'
_cell_length_a 6.0545
_cell_length_b 6.1186
_cell_length_c 10.6742
_cell_angle_alpha 74.35
_cell_angle_beta 73.55
_cell_angle_gamma 61.86
_space_group_name_H-M_alt 'P 1'
_space_group_IT_number 1
loop_
_space_group_symop_operation_xyz
'x,y,z'
loop_
_atom_site_label
_atom_site_fract_x
_atom_site_fract_y
_atom_site_fract_z
Li1 0.0000 0.0000 0.0000
Li2 0.0017 0.9973 0.4995
Li3 0.2297 0.7835 0.7375
Li4 0.2753 0.7438 0.2387
Li5 0.4997 0.4996 0.5000
Li6 0.5022 0.4973 0.9997
Li7 0.7292 0.2496 0.7603
Li8 0.7737 0.2114 0.2616
Mn1 0.0020 0.4965 0.4998
Mn2 0.0029 0.4976 0.9991
Mn3 0.2540 0.2467 0.7480
Mn4 0.5025 0.9969 0.4994
Mn5 0.5023 0.9970 0.9994
Mn6 0.7504 0.7474 0.2509
Nb1 0.2556 0.2606 0.2482
Nb2 0.7485 0.7330 0.7509
O1 0.1014 0.6330 0.6380
O2 0.1431 0.1195 0.1340
O3 0.1447 0.5972 0.1341
O4 0.1627 0.1198 0.6093
O5 0.3703 0.9090 0.3753
O6 0.3777 0.3779 0.3620
O7 0.3837 0.3234 0.8911
O8 0.3972 0.8602 0.8688
O9 0.6078 0.1334 0.1301
O10 0.6215 0.6704 0.1076
O11 0.6267 0.6153 0.6371
O12 0.6344 0.0839 0.6239
O13 0.8416 0.8738 0.3899
O14 0.8602 0.3960 0.8652
O15 0.8615 0.8744 0.8647
O16 0.9036 0.3604 0.3609
```

For Li4Mn3NbO8, a structure optimized by DFT (PBE+U) gives the computed powder X-ray diffraction pattern in this record (λ = 1.5418 Å (Cu Kα)).

Largest 8 diffraction maxima, by intensity, 10 to 90 degrees two-theta:
d [Å]	I/Imax	index
4.931	100.0	0 0 2
2.217	29.1	0 2 -2
2.184	26.9	2 0 -2
2.123	25.4	2 2 4
2.676	19.0	0 2 0
2.598	16.5	2 2 2
2.658	15.4	2 0 0
1.543	15.3	2 4 2

```
data_Li4Mn3NbO8
_chemical_formula_sum 'Li8 Mn6 Nb2 O16'
_cell_length_a 6.1651
_cell_length_b 6.1792
_cell_length_c 10.3723
_cell_angle_alpha 75.02
_cell_angle_beta 74.10
_cell_angle_gamma 61.17
_space_group_name_H-M_alt 'P 1'
_space_group_IT_number 1
loop_
_space_group_symop_operation_xyz
'x,y,z'
loop_
_atom_site_label
_atom_site_fract_x
_atom_site_fract_y
_atom_site_fract_z
Li1 0.0000 0.0000 0.0000
Li2 0.0006 0.4990 0.0000
Li3 0.0047 0.4998 0.4987
Li4 0.0073 0.9979 0.4986
Li5 0.4983 0.5067 0.4983
Li6 0.5015 0.9986 0.5005
Li7 0.5033 0.0011 0.9984
Li8 0.5067 0.4976 0.9984
Mn1 0.2493 0.2508 0.7493
Mn2 0.2501 0.7506 0.2484
Mn3 0.2506 0.2501 0.2494
Mn4 0.7493 0.7505 0.2496
Mn5 0.7501 0.2505 0.7483
Mn6 0.7514 0.7497 0.7488
Nb1 0.2502 0.7499 0.7507
Nb2 0.7500 0.2499 0.2507
O1 0.0869 0.6296 0.1424
O2 0.0947 0.1303 0.1320
O3 0.1293 0.6488 0.6229
O4 0.1465 0.1039 0.6362
O5 0.3540 0.3956 0.8631
O6 0.3720 0.8502 0.8768
O7 0.4045 0.3710 0.3676
O8 0.4115 0.8704 0.3575
O9 0.5871 0.1287 0.6427
O10 0.5945 0.6307 0.6318
O11 0.6289 0.1490 0.1231
O12 0.6466 0.6040 0.1364
O13 0.8539 0.8956 0.3632
O14 0.8719 0.3506 0.3767
O15 0.9047 0.8705 0.8676
O16 0.9116 0.3710 0.8570
```

For Li2MnNbO4, a structure optimized by DFT (PBE+U) gives the computed powder X-ray diffraction pattern in this record (λ = 1.5418 Å (Cu Kα)).

Largest 8 diffraction maxima, by intensity, 10 to 90 degrees two-theta:
d [Å]	I/Imax	index
5.151	100.0	0 1 1
2.153	55.0	2 2 0
2.563	34.0	2 1 1
1.554	32.9	2 2 4
2.245	29.7	0 0 4
4.936	26.0	1 0 1
2.575	17.3	0 2 2
2.468	15.5	2 0 2

```
data_Li2MnNbO4
_chemical_formula_sum 'Li8 Mn4 Nb4 O16'
_cell_length_a 5.9092
_cell_length_b 6.2883
_cell_length_c 8.9780
_cell_angle_alpha 90.00
_cell_angle_beta 90.00
_cell_angle_gamma 90.00
_space_group_name_H-M_alt 'I m m a'
_space_group_IT_number 74
_space_group_name_Hall '-I 2b 2'
loop_
_atom_site_label
_atom_site_fract_x
_atom_site_fract_y
_atom_site_fract_z
Li1 0.0000 0.0000 0.0000
Li2 0.2500 0.2500 0.2500
Mn1 0.0000 0.0000 0.5000
Nb1 0.2500 0.2500 0.7500
O1 0.0000 0.0033 0.2498
O2 0.2484 0.2500 0.9743
```

For Li4Mn3NbO8, a structure optimized by DFT (PBE+U) gives the computed powder X-ray diffraction pattern in this record (λ = 1.5418 Å (Cu Kα)).

Largest 8 diffraction maxima, by intensity, 10 to 90 degrees two-theta:
d [Å]	I/Imax	index
4.927	100.0	1 0 1
2.662	34.5	1 2 -1
2.196	27.8	2 -2 0
2.188	27.6	2 2 0
2.140	26.0	0 0 4
2.527	18.9	2 0 -2
2.614	16.3	1 0 -3
1.983	11.9	1 2 3

```
data_Li4Mn3NbO8
_chemical_formula_sum 'Li8 Mn6 Nb2 O16'
_cell_length_a 6.1412
_cell_length_b 6.2626
_cell_length_c 8.5641
_cell_angle_alpha 90.02
_cell_angle_beta 91.52
_cell_angle_gamma 90.22
_space_group_name_H-M_alt 'P -1'
_space_group_IT_number 2
loop_
_space_group_symop_operation_xyz
'x,y,z'
'-x,-y,-z'
loop_
_atom_site_label
_atom_site_fract_x
_atom_site_fract_y
_atom_site_fract_z
Li1 0.0000 0.0000 0.0000
Li2 0.0000 0.5000 0.0000
Li3 0.2483 0.2574 0.7501
Li4 0.2492 0.7408 0.7496
Li5 0.5000 0.0000 0.5000
Li6 0.5000 0.5000 0.5000
Mn1 0.0000 0.0000 0.5000
Mn2 0.0000 0.5000 0.5000
Mn3 0.2515 0.7459 0.2488
Mn4 0.5000 0.0000 0.0000
Mn5 0.5000 0.5000 0.0000
Nb1 0.2513 0.2399 0.2508
O1 0.0124 0.4804 0.2651
O2 0.0164 0.0175 0.2430
O3 0.2170 0.7294 0.4966
O4 0.2358 0.2486 0.0142
O5 0.2649 0.2479 0.4867
O6 0.2818 0.7256 0.0023
O7 0.4862 0.0197 0.2561
O8 0.4885 0.4816 0.2374
```